This entry pairs a crystal structure of AcIn5Hg3 with its simulated XRD peak list. Radiation: λ = 1.5418 Å (Cu Kα). Structure: DFT lattice parameters and positions (PBE).
Lines closer than 0.1° are merged.

Main lines, low angle first (2θ from 10° to 90°):
two_theta	I (rel.)	h k l
29.84	100	1 3 -1
30.15	15	1 1 2
32.35	77	1 2 2
34.32	36	0 1 3
34.83	49	1 4 1
35.38	19	0 5 1
35.75	45	1 3 2
36.30	17	0 2 3
38.46	45	2 0 0
42.07	14	0 6 1
52.49	22	2 1 -3
61.20	22	1 0 -5

a = 4.681 Å, b = 13.379 Å, c = 7.992 Å
α = 90.00°, β = 90.08°, γ = 90.00°
Positions (direct):
Ac 0.000 0.250 0.230
Ac 0.000 0.750 0.770
In 0.000 0.000 0.000
In 0.000 0.095 0.619
In 0.000 0.405 0.619
In 0.000 0.500 0.000
In 0.000 0.595 0.381
In 0.000 0.905 0.381
In 0.500 0.139 0.916
In 0.500 0.361 0.916
In 0.500 0.639 0.084
In 0.500 0.861 0.084
Hg 0.499 0.250 0.561
Hg 0.500 0.064 0.300
Hg 0.500 0.436 0.300
Hg 0.500 0.564 0.700
Hg 0.500 0.936 0.700
Hg 0.501 0.750 0.439